# 1
Li2MnP2O8: theoretical powder diffraction line list (Cu Ka), based on a PBE+U-relaxed structure.
Lines closer than 0.1° are merged.

Structure:
abc: 4.7505 5.7869 10.0651
angles: 90.04 90.89 91.43
Sites, in units of the cell vectors:
Li  0.0000  0.0000  0.0000
Li  0.0296  0.2508  0.7319
Li  0.5000  0.5000  0.5000
Li  0.9704  0.7492  0.2681
Mn  0.4886  0.2480  0.2183
Mn  0.5114  0.7520  0.7817
P  0.0842  0.7518  0.6040
P  0.4353  0.7457  0.0891
P  0.5647  0.2543  0.9109
P  0.9158  0.2482  0.3960
O  0.1493  0.7436  0.4581
O  0.2387  0.2578  0.3739
O  0.2402  0.9516  0.6849
O  0.2491  0.5474  0.6765
O  0.2498  0.2391  0.9077
O  0.2882  0.9594  0.1582
O  0.3013  0.5315  0.1624
O  0.3035  0.7490  0.9432
O  0.6965  0.2510  0.0568
O  0.6987  0.4685  0.8376
O  0.7118  0.0406  0.8418
O  0.7502  0.7609  0.0923
O  0.7509  0.4526  0.3235
O  0.7598  0.0484  0.3151
O  0.7613  0.7422  0.6261
O  0.8507  0.2564  0.5419

The 8 most intense peaks (15° ≤ 2θ ≤ 90°), by angle:
2θ (°)  intensity
17.7  100
18.7  33
20.6  53
20.8  44
23.4  52
25.6  36
30.9  48
36.3  32

***

# 2
LiMnPO4: theoretical powder diffraction line list (Cu Ka), based on a PBE+U-relaxed structure.
Lines closer than 0.1° are merged.

Structure:
abc: 10.6757 5.6813 5.5455
angles: 90.00 90.00 90.00
Sites, in units of the cell vectors:
Li  0.0402  0.1283  0.0000
Li  0.4598  0.6283  0.5000
Li  0.5402  0.3717  0.0000
Li  0.9598  0.8717  0.5000
Mn  0.1750  0.5774  0.0980
Mn  0.3250  0.0774  0.5980
Mn  0.6750  0.9226  0.0980
Mn  0.8250  0.4226  0.5980
P  0.0997  0.3538  0.5940
P  0.4003  0.8538  0.0940
P  0.5997  0.1462  0.5940
P  0.9003  0.6462  0.0940
O  0.0164  0.8154  0.1092
O  0.0528  0.6068  0.5961
O  0.1834  0.2953  0.8214
O  0.1855  0.2959  0.3737
O  0.3145  0.7959  0.8737
O  0.3166  0.7953  0.3214
O  0.4472  0.1068  0.0961
O  0.4836  0.3154  0.6092
O  0.5164  0.6846  0.1092
O  0.5528  0.8932  0.5961
O  0.6834  0.2047  0.8214
O  0.6855  0.2041  0.3737
O  0.8145  0.7041  0.8737
O  0.8166  0.7047  0.3214
O  0.9472  0.3932  0.0961
O  0.9836  0.1846  0.6092

The 8 most intense peaks (15° ≤ 2θ ≤ 90°), by angle:
2θ (°)  intensity
17.7  100
22.4  97
23.9  30
29.6  58
32.3  43
33.8  30
37.4  36
43.9  46